Structure and calculated XRD peak list of CrPb2F7 (a cell relaxed with GGA+U; Cu Ka).
No peak broadening, texture or thermal motion is included.

Most intense lines, 5 to 70 degrees two-theta, by angle:
2θ 23.94, d = 3.717 Å, intensity 100, (1 0 -2); 2θ 24.26, d = 3.669 Å, intensity 51, (1 2 1); 2θ 24.61, d = 3.617 Å, intensity 39, (1 0 2); 2θ 25.15, d = 3.541 Å, intensity 61, (0 3 1); 2θ 25.84, d = 3.448 Å, intensity 35, (1 1 2); 2θ 28.37, d = 3.146 Å, intensity 50, (1 3 0); 2θ 29.71, d = 3.007 Å, intensity 28, (1 3 -1); 2θ 29.83, d = 2.996 Å, intensity 32, (0 3 2); 2θ 32.02, d = 2.795 Å, intensity 32, (2 0 0); 2θ 40.91, d = 2.206 Å, intensity 22, (2 3 -1)

Structural model:
```
data_CrPb2F7
_space_group_name_H-M_alt 'P 1 21/c 1'
_space_group_IT_number 14
_space_group_name_Hall '-P 2ybc'
_cell_length_a 5.5929
_cell_length_b 11.4188
_cell_length_c 9.7143
_cell_angle_alpha 90.00
_cell_angle_beta 91.56
_cell_angle_gamma 90.00
loop_
_atom_site_label
_atom_site_type_symbol
_atom_site_fract_x
_atom_site_fract_y
_atom_site_fract_z
_atom_site_occupancy
Cr1 Cr 0.1976 0.1337 0.2901 1
Pb1 Pb 0.2602 0.0591 0.8638 1
Pb2 Pb 0.2903 0.6884 0.9405 1
F1 F 0.0237 0.7328 0.7176 1
F2 F 0.0621 0.5378 0.1481 1
F3 F 0.0940 0.0942 0.1024 1
F4 F 0.2926 0.1729 0.4783 1
F5 F 0.3859 0.6141 0.4930 1
F6 F 0.4097 0.5034 0.7992 1
F7 F 0.4565 0.2425 0.2404 1
```